Calculated powder X-ray diffraction pattern of KSmNi4O12 for a wavelength of 1.5418 Å, from a structure optimized by DFT (PBE+U).
Neutral-atom scattering factors, no anomalous dispersion.

Most intense lines, 10 to 90 degrees two-theta, low angle first:
two_theta	d/Å	I/Imax	h k l
11.53	7.674	19	1 0 0
16.33	5.427	19	0 1 1
20.04	4.431	60	1 1 1
23.18	3.837	17	0 0 2
33.01	2.713	100	0 2 2
38.92	2.314	30	1 3 1
47.38	1.919	46	0 4 0
51.93	1.761	13	3 3 1
58.96	1.567	39	4 2 2
69.25	1.357	25	0 4 4

Cell and atoms:
```
data_KSmNi4O12
_chemical_formula_sum 'K2 Sm2 Ni8 O24'
_cell_length_a 7.674
_cell_length_b 7.670
_cell_length_c 7.681
_cell_angle_alpha 90.00
_cell_angle_beta 90.00
_cell_angle_gamma 90.00
_symmetry_space_group_name_H-M 'A m m 2'
_symmetry_Int_Tables_number 38
_symmetry_space_group_name_Hall 'A 2 -2'
loop_
_atom_site_label
_atom_site_fract_x
_atom_site_fract_y
_atom_site_fract_z
_atom_site_occupancy
K1 0.000 0.000 0.000 1
Sm1 0.500 0.000 0.509 1
Ni1 0.247 0.249 0.252 1
O1 0.000 0.245 0.252 1
O2 0.264 0.000 0.735 1
O3 0.271 0.233 0.502 1
O4 0.278 0.000 0.271 1
O5 0.500 0.238 0.745 1
```